Starting from a DFT-relaxed cell (GGA-PBE, Alexandria), the PXRD pattern of Pm5CdSn6 was simulated for Cu Kα.

Cell and atoms:
```
Pm5CdSn6
1.0
-2.4107 4.5895 7.4991
2.4107 -4.5895 7.4991
2.4107 4.5895 -7.4991
Pm Cd Sn
5 1 6
Direct
0.0000 0.0000 0.0000
0.1689 0.6689 0.5000
0.3536 0.3536 0.0000
0.6464 0.6464 0.0000
0.8311 0.3311 0.5000
0.5000 0.0000 0.5000
0.0765 0.8293 0.2472
0.2409 0.5000 0.7409
0.4179 0.1707 0.2472
0.5821 0.8293 0.7528
0.7591 0.5000 0.2591
0.9235 0.1707 0.7528
```

Peak list (12 most intense, 10 to 80 degrees two-theta, sorted by position)
32.34 deg, I 100
35.93 deg, I 17
37.30 deg, I 18
39.26 deg, I 15
52.75 deg, I 12
54.26 deg, I 11
55.27 deg, I 11
62.33 deg, I 13
64.16 deg, I 14
66.83 deg, I 12
67.70 deg, I 11
79.52 deg, I 2